# 1
La3Sb5Rh6: computed X-ray diffraction stick pattern (Cu Kα (λ = 1.5418 Å)), based on the PBE geometry in Alexandria.
Peak positions follow from Bragg's law for the DFT cell and can differ from measured ones.

The 8 most intense peaks (2θ from 15° to 90°), in order of rising 2θ:
d (Å), I_rel
2.738, 23.1
2.718, 34.3
2.677, 100.0
2.229, 34.2
2.186, 35.8
1.999, 16.6
1.886, 13.0
1.561, 14.9

Cell and atoms:
```
data_La3Sb5Rh6
_chemical_formula_sum 'La6 Sb10 Rh12'
_cell_length_a 4.372
_cell_length_b 13.376
_cell_length_c 10.409
_cell_angle_alpha 90.00
_cell_angle_beta 90.00
_cell_angle_gamma 90.00
_space_group_name_H-M_alt 'P 1'
_space_group_IT_number 1
_space_group_name_Hall 'P 1'
loop_
_atom_site_label
_atom_site_type_symbol
_atom_site_fract_x
_atom_site_fract_y
_atom_site_fract_z
La1 La 0.250 0.080 0.246
La2 La 0.250 0.420 0.246
La3 La 0.250 0.750 0.250
La4 La 0.750 0.250 0.750
La5 La 0.750 0.580 0.754
La6 La 0.750 0.920 0.754
Sb1 Sb 0.250 0.081 0.643
Sb2 Sb 0.250 0.419 0.643
Sb3 Sb 0.250 0.628 0.981
Sb4 Sb 0.250 0.750 0.646
Sb5 Sb 0.250 0.872 0.981
Sb6 Sb 0.750 0.128 0.019
Sb7 Sb 0.750 0.250 0.354
Sb8 Sb 0.750 0.372 0.019
Sb9 Sb 0.750 0.581 0.357
Sb10 Sb 0.750 0.919 0.357
Rh1 Rh 0.250 0.058 0.894
Rh2 Rh 0.250 0.250 0.001
Rh3 Rh 0.250 0.250 0.505
Rh4 Rh 0.250 0.442 0.894
Rh5 Rh 0.250 0.584 0.498
Rh6 Rh 0.250 0.916 0.498
Rh7 Rh 0.750 0.084 0.502
Rh8 Rh 0.750 0.416 0.502
Rh9 Rh 0.750 0.558 0.106
Rh10 Rh 0.750 0.750 0.495
Rh11 Rh 0.750 0.750 0.999
Rh12 Rh 0.750 0.942 0.106
```

***

# 2
La5RhSe4: computed X-ray diffraction stick pattern (Cu Kα (λ = 1.5418 Å)), based on the PBE geometry in Alexandria.
Peak positions follow from Bragg's law for the DFT cell and can differ from measured ones.

The 8 most intense peaks (2θ from 15° to 90°), in order of rising 2θ:
d (Å), I_rel
3.052, 100.0
3.025, 46.2
2.158, 37.8
2.148, 70.1
1.757, 37.4
1.365, 17.8
1.363, 16.0
1.244, 23.7

Cell and atoms:
```
data_La5RhSe4
_chemical_formula_sum 'La5 Rh1 Se4'
_cell_length_a 15.428
_cell_length_b 15.428
_cell_length_c 15.428
_cell_angle_alpha 163.92
_cell_angle_beta 163.92
_cell_angle_gamma 22.82
_space_group_name_H-M_alt 'P 1'
_space_group_IT_number 1
_space_group_name_Hall 'P 1'
loop_
_atom_site_label
_atom_site_type_symbol
_atom_site_fract_x
_atom_site_fract_y
_atom_site_fract_z
La1 La 0.000 0.000 0.000
La2 La 0.202 0.202 0.000
La3 La 0.406 0.406 0.000
La4 La 0.594 0.594 0.000
La5 La 0.798 0.798 0.000
Rh1 Rh 0.500 0.500 0.000
Se1 Se 0.101 0.101 0.000
Se2 Se 0.304 0.304 0.000
Se3 Se 0.696 0.696 0.000
Se4 Se 0.899 0.899 0.000
```

***

# 3
La4RhSe3: computed X-ray diffraction stick pattern (Cu Kα (λ = 1.5418 Å)), based on the PBE geometry in Alexandria.
Peak positions follow from Bragg's law for the DFT cell and can differ from measured ones.

The 8 most intense peaks (2θ from 15° to 90°), in order of rising 2θ:
d (Å), I_rel
3.064, 51.6
3.040, 100.0
2.183, 18.8
2.158, 75.5
2.118, 18.2
1.778, 19.8
1.742, 19.6
1.368, 17.0

Cell and atoms:
```
data_La4RhSe3
_chemical_formula_sum 'La8 Rh2 Se6'
_cell_length_a 8.733
_cell_length_b 12.255
_cell_length_c 4.236
_cell_angle_alpha 90.00
_cell_angle_beta 90.00
_cell_angle_gamma 90.00
_space_group_name_H-M_alt 'P 1'
_space_group_IT_number 1
_space_group_name_Hall 'P 1'
loop_
_atom_site_label
_atom_site_type_symbol
_atom_site_fract_x
_atom_site_fract_y
_atom_site_fract_z
La1 La 0.000 0.246 0.000
La2 La 0.000 0.754 0.000
La3 La 0.232 0.000 0.500
La4 La 0.268 0.500 0.500
La5 La 0.500 0.254 0.000
La6 La 0.500 0.746 0.000
La7 La 0.732 0.500 0.500
La8 La 0.768 0.000 0.500
Rh1 Rh 0.000 0.000 0.000
Rh2 Rh 0.500 0.500 0.000
Se1 Se 0.000 0.500 0.000
Se2 Se 0.250 0.250 0.500
Se3 Se 0.250 0.750 0.500
Se4 Se 0.500 0.000 0.000
Se5 Se 0.750 0.250 0.500
Se6 Se 0.750 0.750 0.500
```